No. 1
# AcSmAsO2
Simulated powder diffraction line list, Cu Kα, 1.54184 Å. Input: the GGA-PBE geometry in Alexandria.

Structure:
```
data_AcSmAsO2
_cell_length_a 7.366
_cell_length_b 7.366
_cell_length_c 7.366
_cell_angle_alpha 148.47
_cell_angle_beta 148.47
_cell_angle_gamma 45.19
_space_group_name_H-M_alt 'P 1'
_space_group_IT_number 1
_space_group_name_Hall 'P 1'
loop_
_atom_site_label
_atom_site_fract_x
_atom_site_fract_y
_atom_site_fract_z
Ac1 0.000 0.000 0.000
Sm1 0.314 0.314 0.000
As1 0.660 0.660 0.000
O1 0.398 0.898 0.500
O2 0.898 0.398 0.500
```

Peak list (10 most intense, 15° ≤ 2θ ≤ 90°, by angle)
23.2 deg, rel. 18; 29.8 deg, rel. 100; 31.6 deg, rel. 37; 41.5 deg, rel. 10; 45.3 deg, rel. 19; 51.7 deg, rel. 23; 55.2 deg, rel. 36; 61.8 deg, rel. 11; 66.1 deg, rel. 14; 88.5 deg, rel. 10

No. 2
# SrAc3As4O12
Simulated powder diffraction line list, Cu Kα, 1.54184 Å. Input: the GGA-PBE geometry in Alexandria.

Structure:
```
data_SrAc3As4O12
_cell_length_a 7.587
_cell_length_b 7.587
_cell_length_c 7.587
_cell_angle_alpha 104.57
_cell_angle_beta 104.57
_cell_angle_gamma 104.57
_space_group_name_H-M_alt 'P 1'
_space_group_IT_number 1
_space_group_name_Hall 'P 1'
loop_
_atom_site_label
_atom_site_fract_x
_atom_site_fract_y
_atom_site_fract_z
Sr1 0.000 0.000 0.000
Ac1 0.000 0.547 0.453
Ac2 0.453 0.000 0.547
Ac3 0.547 0.453 0.000
As1 0.069 0.500 0.931
As2 0.500 0.500 0.500
As3 0.500 0.931 0.069
As4 0.931 0.069 0.500
O1 0.015 0.206 0.348
O2 0.078 0.922 0.500
O3 0.206 0.348 0.015
O4 0.340 0.660 0.500
O5 0.348 0.015 0.206
O6 0.500 0.078 0.922
O7 0.500 0.340 0.660
O8 0.652 0.794 0.985
O9 0.660 0.500 0.340
O10 0.794 0.985 0.652
O11 0.922 0.500 0.078
O12 0.985 0.652 0.794
```

Peak list (10 most intense, 15° ≤ 2θ ≤ 90°, by angle)
19.6 deg, rel. 30; 24.6 deg, rel. 33; 25.8 deg, rel. 100; 29.8 deg, rel. 32; 32.6 deg, rel. 50; 36.7 deg, rel. 16; 39.8 deg, rel. 19; 42.8 deg, rel. 25; 49.9 deg, rel. 31; 54.7 deg, rel. 16

No. 3
# AcTb2AsO8
Simulated powder diffraction line list, Cu Kα, 1.54184 Å. Input: the GGA-PBE geometry in Alexandria.

Structure:
```
data_AcTb2AsO8
_cell_length_a 4.407
_cell_length_b 5.479
_cell_length_c 7.184
_cell_angle_alpha 82.18
_cell_angle_beta 85.58
_cell_angle_gamma 82.86
_space_group_name_H-M_alt 'P 1'
_space_group_IT_number 1
_space_group_name_Hall 'P 1'
loop_
_atom_site_label
_atom_site_fract_x
_atom_site_fract_y
_atom_site_fract_z
Ac1 0.000 0.000 0.000
Tb1 0.427 0.443 0.246
Tb2 0.573 0.557 0.754
As1 0.000 0.000 0.500
O1 0.077 0.744 0.704
O2 0.126 0.781 0.332
O3 0.387 0.108 0.513
O4 0.435 0.270 0.991
O5 0.565 0.730 0.009
O6 0.613 0.892 0.487
O7 0.874 0.219 0.668
O8 0.923 0.256 0.296
```

Peak list (10 most intense, 15° ≤ 2θ ≤ 90°, by angle)
24.7 deg, rel. 100; 26.2 deg, rel. 45; 27.7 deg, rel. 98; 28.3 deg, rel. 97; 31.5 deg, rel. 49; 31.9 deg, rel. 79; 33.2 deg, rel. 35; 33.5 deg, rel. 41; 47.2 deg, rel. 31; 50.6 deg, rel. 34

No. 4
# Ac4TeAs2O2
Simulated powder diffraction line list, Cu Kα, 1.54184 Å. Input: the GGA-PBE geometry in Alexandria.

Structure:
```
data_Ac4TeAs2O2
_cell_length_a 8.736
_cell_length_b 8.736
_cell_length_c 8.954
_cell_angle_alpha 118.92
_cell_angle_beta 118.92
_cell_angle_gamma 28.01
_space_group_name_H-M_alt 'P 1'
_space_group_IT_number 1
_space_group_name_Hall 'P 1'
loop_
_atom_site_label
_atom_site_fract_x
_atom_site_fract_y
_atom_site_fract_z
Ac1 0.015 0.015 0.311
Ac2 0.268 0.268 0.697
Ac3 0.732 0.732 0.303
Ac4 0.985 0.985 0.689
Te1 0.500 0.500 0.000
As1 0.381 0.381 0.337
As2 0.619 0.619 0.663
O1 0.178 0.178 0.382
O2 0.822 0.822 0.618
```

Peak list (10 most intense, 15° ≤ 2θ ≤ 90°, by angle)
22.9 deg, rel. 33; 23.3 deg, rel. 41; 24.2 deg, rel. 46; 27.9 deg, rel. 28; 29.8 deg, rel. 100; 33.6 deg, rel. 64; 34.1 deg, rel. 33; 34.7 deg, rel. 36; 42.8 deg, rel. 25; 43.1 deg, rel. 27

Please write out number 4 again, unchanged.
# Ac4TeAs2O2
Simulated powder diffraction line list, Cu Kα, 1.54184 Å. Input: the GGA-PBE geometry in Alexandria.

Structure:
```
data_Ac4TeAs2O2
_cell_length_a 8.736
_cell_length_b 8.736
_cell_length_c 8.954
_cell_angle_alpha 118.92
_cell_angle_beta 118.92
_cell_angle_gamma 28.01
_space_group_name_H-M_alt 'P 1'
_space_group_IT_number 1
_space_group_name_Hall 'P 1'
loop_
_atom_site_label
_atom_site_fract_x
_atom_site_fract_y
_atom_site_fract_z
Ac1 0.015 0.015 0.311
Ac2 0.268 0.268 0.697
Ac3 0.732 0.732 0.303
Ac4 0.985 0.985 0.689
Te1 0.500 0.500 0.000
As1 0.381 0.381 0.337
As2 0.619 0.619 0.663
O1 0.178 0.178 0.382
O2 0.822 0.822 0.618
```

Peak list (10 most intense, 15° ≤ 2θ ≤ 90°, by angle)
22.9 deg, rel. 33; 23.3 deg, rel. 41; 24.2 deg, rel. 46; 27.9 deg, rel. 28; 29.8 deg, rel. 100; 33.6 deg, rel. 64; 34.1 deg, rel. 33; 34.7 deg, rel. 36; 42.8 deg, rel. 25; 43.1 deg, rel. 27

Please write out number 3 again, unchanged.
# AcTb2AsO8
Simulated powder diffraction line list, Cu Kα, 1.54184 Å. Input: the GGA-PBE geometry in Alexandria.

Structure:
```
data_AcTb2AsO8
_cell_length_a 4.407
_cell_length_b 5.479
_cell_length_c 7.184
_cell_angle_alpha 82.18
_cell_angle_beta 85.58
_cell_angle_gamma 82.86
_space_group_name_H-M_alt 'P 1'
_space_group_IT_number 1
_space_group_name_Hall 'P 1'
loop_
_atom_site_label
_atom_site_fract_x
_atom_site_fract_y
_atom_site_fract_z
Ac1 0.000 0.000 0.000
Tb1 0.427 0.443 0.246
Tb2 0.573 0.557 0.754
As1 0.000 0.000 0.500
O1 0.077 0.744 0.704
O2 0.126 0.781 0.332
O3 0.387 0.108 0.513
O4 0.435 0.270 0.991
O5 0.565 0.730 0.009
O6 0.613 0.892 0.487
O7 0.874 0.219 0.668
O8 0.923 0.256 0.296
```

Peak list (10 most intense, 15° ≤ 2θ ≤ 90°, by angle)
24.7 deg, rel. 100; 26.2 deg, rel. 45; 27.7 deg, rel. 98; 28.3 deg, rel. 97; 31.5 deg, rel. 49; 31.9 deg, rel. 79; 33.2 deg, rel. 35; 33.5 deg, rel. 41; 47.2 deg, rel. 31; 50.6 deg, rel. 34